Record 1
This entry pairs a crystal structure of NaAc2PrTl4 with its theoretical X-ray powder pattern. Radiation: Cu Kα, 1.54184 Å. Structure: a cell relaxed with PBE.

Crystal structure
```
data_NaAc2PrTl4
_chemical_formula_sum 'Na3 Ac6 Pr3 Tl12'
_space_group_name_H-M_alt 'R -3 m'
_space_group_IT_number 166
_space_group_name_Hall '-R 3 2"'
_cell_length_a 5.6385
_cell_length_b 5.6385
_cell_length_c 28.3419
_cell_angle_alpha 90.00
_cell_angle_beta 90.00
_cell_angle_gamma 120.00
loop_
_atom_site_label
_atom_site_type_symbol
_atom_site_fract_x
_atom_site_fract_y
_atom_site_fract_z
Na1 Na 0.0000 0.0000 0.0000
Ac1 Ac 0.0000 0.0000 0.2552
Pr1 Pr 0.0000 0.0000 0.5000
Tl1 Tl 0.0000 0.0000 0.1258
Tl2 Tl 0.0000 0.0000 0.3756
```

Largest 6 diffraction maxima, in order of rising 2θ, 5 to 70 degrees two-theta:
31.19°, 2.868 Å, I = 100, (0 1 8)
31.74°, 2.819 Å, I = 98, (1 1 0)
45.10°, 2.010 Å, I = 37, (2 0 8)
55.16°, 1.665 Å, I = 19, (1 0 16)
56.20°, 1.637 Å, I = 39, (1 2 8)
56.54°, 1.628 Å, I = 20, (3 0 0)

***

Record 2
This entry pairs a crystal structure of Ho3CdPt4 with its theoretical X-ray powder pattern. Radiation: Cu Kα, 1.54184 Å. Structure: a cell relaxed with PBE.

Crystal structure
```
data_Ho3CdPt4
_chemical_formula_sum 'Ho6 Cd2 Pt8'
_space_group_name_H-M_alt 'I m m m'
_space_group_IT_number 71
_space_group_name_Hall '-I 2 2'
_cell_length_a 3.7529
_cell_length_b 6.5789
_cell_length_c 14.7389
_cell_angle_alpha 90.00
_cell_angle_beta 90.00
_cell_angle_gamma 90.00
loop_
_atom_site_label
_atom_site_type_symbol
_atom_site_fract_x
_atom_site_fract_y
_atom_site_fract_z
Ho1 Ho 0.0000 0.0000 0.0000
Ho2 Ho 0.0000 0.5000 0.1931
Cd1 Cd 0.0000 0.0000 0.5000
Pt1 Pt 0.0000 0.2978 0.3712
```

Largest 6 diffraction maxima, in order of rising 2θ, 5 to 70 degrees two-theta:
29.97°, 2.981 Å, I = 100, (1 1 2)
36.61°, 2.454 Å, I = 91, (0 2 4)
36.83°, 2.440 Å, I = 96, (1 2 1)
38.85°, 2.318 Å, I = 51, (1 0 5)
40.84°, 2.209 Å, I = 65, (1 2 3)
62.28°, 1.491 Å, I = 39, (2 2 4)